Starting from DFT lattice parameters and positions (PBE+U), the powder X-ray diffraction pattern of KBaSmMnO6 was simulated for Cu Kα.
Lines closer than 0.1° are merged.

Cell and atoms:
```
data_KBaSmMnO6
_chemical_formula_sum 'K4 Ba4 Sm4 Mn4 O24'
_cell_length_a 8.448
_cell_length_b 8.448
_cell_length_c 8.448
_cell_angle_alpha 90.00
_cell_angle_beta 90.00
_cell_angle_gamma 90.00
_symmetry_space_group_name_H-M 'F -4 3 m'
_symmetry_Int_Tables_number 216
_symmetry_space_group_name_Hall 'F -4 2 3'
loop_
_atom_site_label
_atom_site_fract_x
_atom_site_fract_y
_atom_site_fract_z
K1 0.000 0.000 0.000
Ba1 0.000 0.000 0.500
Sm1 0.250 0.250 0.750
Mn1 0.250 0.250 0.250
O1 0.023 0.250 0.250
```

The 6 most intense peaks (10 to 80 degrees two-theta), in order of falling intensity:
29.92 deg, rel. 100.0; 53.11 deg, rel. 38.5; 42.82 deg, rel. 33.4; 18.19 deg, rel. 25.1; 62.16 deg, rel. 19.8; 35.24 deg, rel. 19.1